For CoOF, a structure optimized by DFT (GGA+U) gives the theoretical X-ray powder pattern in this record (copper Kα).
Kinematic intensities with the Lorentz-polarization factor, no thermal factor.

Main lines, by angle (2θ from 10° to 80°):
- 3.338 Å, 2θ 26.70, rel. 100, (1 0 -4)
- 3.137 Å, 2θ 28.45, rel. 99, (1 0 4)
- 2.490 Å, 2θ 36.07, rel. 50, (1 1 0)
- 2.483 Å, 2θ 36.18, rel. 65, (0 1 4)
- 2.216 Å, 2θ 40.72, rel. 16, (1 1 -4)
- 1.764 Å, 2θ 51.84, rel. 15, (2 1 -3)
- 1.716 Å, 2θ 53.40, rel. 21, (2 1 -4)
- 1.708 Å, 2θ 53.65, rel. 31, (1 1 -8)
- 1.658 Å, 2θ 55.40, rel. 21, (2 1 4)
- 1.652 Å, 2θ 55.63, rel. 29, (1 1 8)
- 1.481 Å, 2θ 62.72, rel. 20, (0 2 0)
- 1.350 Å, 2θ 69.62, rel. 34, (0 1 12)

Cell and atoms:
```
CoOF
1.0
4.605 0.000 0.000
0.000 2.963 0.000
-1.131 0.000 18.198
Co O F
8 8 8
Cartesian
0.000 0.000 0.000 Co
-0.565 0.000 9.099 Co
0.022 0.000 4.490 Co
0.847 1.481 15.922 Co
1.467 1.481 11.401 Co
2.007 1.481 6.797 Co
2.626 1.481 2.276 Co
3.452 0.000 13.708 Co
-0.370 1.481 17.263 O
0.144 0.000 15.028 O
0.701 0.000 10.513 O
1.220 0.000 5.918 O
2.254 0.000 12.280 O
2.773 0.000 7.685 O
3.330 0.000 3.170 O
3.844 1.481 0.935 O
-0.148 1.481 12.801 F
0.417 1.481 8.195 F
1.081 1.481 3.595 F
1.658 0.000 1.405 F
1.815 0.000 16.793 F
2.393 1.481 14.603 F
3.057 1.481 10.003 F
3.622 1.481 5.397 F
```